Starting from the PBE geometry in Alexandria, the powder diffraction line list of Mo2PtRh was calculated for CuKα.

Structural model:
Lattice parameters (Å, degrees): 9.1721 2.7418 4.9254 90.00 99.33 90.00
Space group Cm (No. 8)
Unique sites:
Mo 0.0000 0.0000 0.0000
Mo 0.2493 0.0000 0.7110
Pt 0.0004 0.5000 0.4906
Rh 0.2462 0.5000 0.2104

Top 10 peaks for 2θ from 10° to 90°, sorted by position:
18.25 deg, 4.860 Å, rel. 8, hkl 0 0 1; 39.13 deg, 2.302 Å, rel. 34, hkl 2 0 -2; 39.81 deg, 2.264 Å, rel. 100, hkl 4 0 0; 45.12 deg, 2.009 Å, rel. 22, hkl 2 0 2; 46.59 deg, 1.950 Å, rel. 42, hkl 3 1 -1; 66.37 deg, 1.408 Å, rel. 13, hkl 1 1 -3; 67.36 deg, 1.390 Å, rel. 14, hkl 5 1 1; 79.66 deg, 1.204 Å, rel. 8, hkl 3 1 3; 81.80 deg, 1.177 Å, rel. 16, hkl 7 1 -1; 82.22 deg, 1.172 Å, rel. 8, hkl 4 2 0



Starting from the PBE geometry in Alexandria, the powder diffraction line list of Mo2PtRh9 was calculated for CuKα.

Structural model:
Lattice parameters (Å, degrees): 4.7470 6.1133 6.7065 111.29 90.27 104.95
Space group P-1 (No. 2)
Unique sites:
Mo 0.0900 0.2602 0.0829
Pt 0.0000 0.5000 0.5000
Rh 0.1651 0.0006 0.6737
Rh 0.2470 0.7511 0.2429
Rh 0.3328 0.4998 0.8345
Rh 0.4090 0.2467 0.4120
Rh 0.5000 0.0000 0.0000

Top 10 peaks for 2θ from 10° to 90°, sorted by position:
40.35 deg, 2.235 Å, rel. 100, hkl 2 -1 1; 46.79 deg, 1.942 Å, rel. 16, hkl 2 0 -2; 47.00 deg, 1.933 Å, rel. 32, hkl 1 1 2; 68.44 deg, 1.371 Å, rel. 10, hkl 3 -3 0; 68.57 deg, 1.369 Å, rel. 15, hkl 3 1 0; 82.40 deg, 1.170 Å, rel. 6, hkl -3 2 3; 82.49 deg, 1.169 Å, rel. 6, hkl -4 1 1; 82.70 deg, 1.167 Å, rel. 9, hkl 2 -5 1; 82.79 deg, 1.166 Å, rel. 15, hkl 3 -4 3; 87.25 deg, 1.117 Å, rel. 8, hkl 4 -2 2



Starting from the PBE geometry in Alexandria, the powder diffraction line list of Mo2Pt6Rh3 was calculated for CuKα.

Structural model:
Lattice parameters (Å, degrees): 8.1783 4.7180 18.3372 90.00 90.00 90.00
Space group C2/c (No. 15)
Unique sites:
Mo 0.1670 0.0008 0.0000
Pt 0.0003 0.1703 0.1211
Pt 0.1647 0.3347 0.8786
Pt 0.1658 0.3342 0.6214
Rh 0.0000 0.1621 0.7500
Rh 0.1688 0.3313 0.2499

Top 10 peaks for 2θ from 10° to 90°, sorted by position:
19.36 deg, 4.584 Å, rel. 40, hkl 0 0 4; 38.13 deg, 2.360 Å, rel. 17, hkl 0 2 0; 38.46 deg, 2.341 Å, rel. 19, hkl 3 1 1; 39.31 deg, 2.292 Å, rel. 48, hkl 0 0 8; 41.00 deg, 2.202 Å, rel. 100, hkl 3 1 -3; 43.11 deg, 2.098 Å, rel. 31, hkl 0 2 4; 45.72 deg, 1.985 Å, rel. 55, hkl 3 1 5; 52.17 deg, 1.753 Å, rel. 14, hkl 3 1 -7; 68.94 deg, 1.362 Å, rel. 55, hkl 6 0 0; 82.33 deg, 1.171 Å, rel. 35, hkl 6 0 8